ZnCdNiPb2: simulated PXRD pattern (CuKα), based on a DFT-relaxed cell (PBE, Alexandria).

Crystal structure
```
data_ZnCdNiPb2
_chemical_formula_sum 'Zn1 Cd1 Ni1 Pb2'
_space_group_name_H-M_alt 'P 4/m m m'
_space_group_IT_number 123
_space_group_name_Hall '-P 4 2'
_cell_length_a 5.1480
_cell_length_b 5.1480
_cell_length_c 4.7464
_cell_angle_alpha 90.00
_cell_angle_beta 90.00
_cell_angle_gamma 90.00
loop_
_atom_site_label
_atom_site_fract_x
_atom_site_fract_y
_atom_site_fract_z
Zn1 0.0000 0.0000 0.0000
Cd1 0.5000 0.5000 0.0000
Ni1 0.0000 0.0000 0.5000
Pb1 0.0000 0.5000 0.5000
```

Main lines, in order of rising 2θ (15 to 90 degrees two-theta):
2θ/deg	Rel. int.	hkl
18.7	241	0 0 1
31.0	1000	1 1 1
34.9	571	2 0 0
37.9	227	0 0 2
39.8	153	2 0 1
50.1	204	2 2 0
52.4	355	2 0 2
60.1	310	3 1 1
64.2	127	1 1 3
64.5	190	2 2 2